# 1
This entry pairs a crystal structure of Pu3BrCl7 with its simulated powder X-ray diffraction pattern. Radiation: CuKα. Structure: a cell relaxed with PBE.

Crystal structure
```
data_Pu3BrCl7
_space_group_name_H-M_alt 'P 3 m 1'
_space_group_IT_number 156
_cell_length_a 8.4435
_cell_length_b 8.4435
_cell_length_c 6.5553
_cell_angle_alpha 90.00
_cell_angle_beta 90.00
_cell_angle_gamma 120.00
loop_
_space_group_symop_operation_xyz
'x,y,z'
'-y,x-y,z'
'-x+y,-x,z'
'-y,-x,z'
'-x+y,y,z'
'x,x-y,z'
loop_
_atom_site_label
_atom_site_fract_x
_atom_site_fract_y
_atom_site_fract_z
Pu1 0.1679 0.3358 0.0000
Br1 0.0000 0.0000 0.2608
Cl1 0.0273 0.5137 0.2172
Cl2 0.3060 0.1530 0.7876
Cl3 0.3333 0.6667 0.7719
```

Largest 10 diffraction maxima, in order of rising 2θ, 2θ = 15–90°:
(1 0 1), 18.17°, I 27.8
(2 0 0), 24.35°, I 36.1
(2 0 1), 27.94°, I 100.0
(2 0 2), 36.83°, I 68.0
(2 2 0), 42.83°, I 37.2
(2 2 1), 45.12°, I 28.6
(0 2 3), 48.54°, I 26.5
(0 4 1), 51.93°, I 18.3
(0 4 2), 57.75°, I 18.4
(4 2 2), 74.51°, I 18.7

---

# 2
This entry pairs a crystal structure of Nd4Rh2Br3 with its simulated powder X-ray diffraction pattern. Radiation: CuKα. Structure: a cell relaxed with PBE.

Crystal structure
```
data_Nd4Rh2Br3
_space_group_name_H-M_alt 'P -3 m 1'
_space_group_IT_number 164
_space_group_name_Hall '-P 3 2"'
_cell_length_a 4.0962
_cell_length_b 4.0962
_cell_length_c 18.8473
_cell_angle_alpha 90.00
_cell_angle_beta 90.00
_cell_angle_gamma 120.00
loop_
_atom_site_label
_atom_site_fract_x
_atom_site_fract_y
_atom_site_fract_z
Nd1 0.0000 0.0000 0.2009
Nd2 0.3333 0.6667 0.3724
Rh1 0.3333 0.6667 0.7081
Br1 0.0000 0.0000 0.5000
Br2 0.3333 0.6667 0.0967
```

Largest 10 diffraction maxima, in order of rising 2θ, 2θ = 15–90°:
(1 0 3), 28.90°, I 100.0
(1 0 4), 31.57°, I 21.5
(1 0 5), 34.73°, I 20.4
(0 1 6), 38.27°, I 20.4
(0 1 7), 42.13°, I 16.0
(1 1 0), 44.22°, I 40.1
(0 1 8), 46.26°, I 11.1
(0 2 3), 53.70°, I 17.4
(1 1 10), 67.54°, I 9.3
(2 1 3), 72.02°, I 14.4

---

# 3
This entry pairs a crystal structure of NbPSCl2 with its simulated powder X-ray diffraction pattern. Radiation: CuKα. Structure: a cell relaxed with PBE.

Crystal structure
```
data_NbPSCl2
_space_group_name_H-M_alt 'P 4/m m m'
_space_group_IT_number 123
_space_group_name_Hall '-P 4 2'
_cell_length_a 4.964
_cell_length_b 4.964
_cell_length_c 4.811
_cell_angle_alpha 90.00
_cell_angle_beta 90.00
_cell_angle_gamma 90.00
loop_
_atom_site_label
_atom_site_fract_x
_atom_site_fract_y
_atom_site_fract_z
Nb1 0.000 0.000 0.000
P1 0.500 0.500 0.500
S1 0.000 0.000 0.500
Cl1 0.000 0.500 0.000
```

Largest 10 diffraction maxima, in order of rising 2θ, 2θ = 15–90°:
(1 0 0), 17.87°, I 100.0
(0 0 1), 18.44°, I 51.6
(1 1 0), 25.38°, I 33.7
(1 0 1), 25.79°, I 73.1
(2 0 0), 36.19°, I 89.5
(0 0 2), 37.39°, I 40.6
(2 1 1), 44.98°, I 31.9
(2 2 0), 52.12°, I 28.8
(2 0 2), 53.02°, I 54.5
(2 2 2), 65.88°, I 27.4

---

# 4
This entry pairs a crystal structure of PmNd8Tm6 with its simulated powder X-ray diffraction pattern. Radiation: CuKα. Structure: a cell relaxed with PBE.

Crystal structure
```
data_PmNd8Tm6
_space_group_name_H-M_alt 'P -3'
_space_group_IT_number 147
_cell_length_a 9.9051
_cell_length_b 9.9051
_cell_length_c 5.9194
_cell_angle_alpha 90.00
_cell_angle_beta 90.00
_cell_angle_gamma 120.00
loop_
_space_group_symop_operation_xyz
'x,y,z'
'-x,-y,-z'
'-y,x-y,z'
'y,-x+y,-z'
'-x+y,-x,z'
'x-y,x,-z'
loop_
_atom_site_label
_atom_site_fract_x
_atom_site_fract_y
_atom_site_fract_z
Pm1 0.0000 0.0000 0.0000
Nd1 0.0521 0.7754 0.7257
Nd2 0.3333 0.6667 0.7248
Tm1 0.0938 0.6202 0.2412
```

Largest 10 diffraction maxima, in order of rising 2θ, 2θ = 15–90°:
(1 2 0), 27.51°, I 21.5
(0 0 2), 30.20°, I 22.2
(3 -1 1), 31.46°, I 100.0
(1 2 2), 41.30°, I 20.8
(4 1 0), 48.64°, I 19.0
(3 -1 3), 54.44°, I 18.7
(5 -4 2), 58.33°, I 15.9
(2 4 1), 59.08°, I 14.2
(7 0 1), 79.95°, I 7.6
(5 -4 4), 83.22°, I 7.0

---

# 5
This entry pairs a crystal structure of K5I2BrO with its simulated powder X-ray diffraction pattern. Radiation: CuKα. Structure: a cell relaxed with PBE.

Crystal structure
```
data_K5I2BrO
_space_group_name_H-M_alt 'I m m m'
_space_group_IT_number 71
_space_group_name_Hall '-I 2 2'
_cell_length_a 5.234
_cell_length_b 7.818
_cell_length_c 16.673
_cell_angle_alpha 90.00
_cell_angle_beta 90.00
_cell_angle_gamma 90.00
loop_
_atom_site_label
_atom_site_fract_x
_atom_site_fract_y
_atom_site_fract_z
K1 0.000 0.000 0.000
K2 0.000 0.265 0.387
I1 0.000 0.000 0.213
Br1 0.000 0.500 0.000
O1 0.000 0.500 0.500
```

Largest 10 diffraction maxima, in order of rising 2θ, 2θ = 15–90°:
(0 1 3), 19.60°, I 33.3
(1 1 0), 20.42°, I 25.8
(1 1 2), 23.07°, I 100.0
(1 2 1), 29.01°, I 57.2
(0 2 4), 31.37°, I 55.3
(1 0 5), 31.82°, I 64.1
(2 0 0), 34.27°, I 33.7
(0 1 7), 39.51°, I 21.8
(1 3 2), 40.14°, I 21.5
(2 2 4), 47.14°, I 32.8

---

# 6
This entry pairs a crystal structure of KBrF6 with its simulated powder X-ray diffraction pattern. Radiation: CuKα. Structure: a cell relaxed with PBE.

Crystal structure
```
data_KBrF6
_space_group_name_H-M_alt 'R -3 m'
_space_group_IT_number 166
_space_group_name_Hall '-R 3 2"'
_cell_length_a 5.5572
_cell_length_b 5.5572
_cell_length_c 15.3895
_cell_angle_alpha 90.00
_cell_angle_beta 90.00
_cell_angle_gamma 120.00
loop_
_atom_site_label
_atom_site_fract_x
_atom_site_fract_y
_atom_site_fract_z
K1 0.0000 0.0000 0.0000
Br1 0.0000 0.0000 0.5000
F1 0.0133 0.5067 0.0944
```

Largest 10 diffraction maxima, in order of rising 2θ, 2θ = 15–90°:
(0 0 3), 17.29°, I 19.0
(1 0 1), 19.32°, I 62.3
(0 1 2), 21.78°, I 100.0
(1 0 4), 29.73°, I 74.9
(1 1 0), 32.22°, I 19.1
(2 0 2), 39.23°, I 43.4
(2 0 5), 47.99°, I 19.9
(1 1 6), 48.29°, I 40.6
(2 1 4), 55.91°, I 25.6
(2 2 0), 67.41°, I 13.9

---

# 7
This entry pairs a crystal structure of Ag3RuS with its simulated powder X-ray diffraction pattern. Radiation: CuKα. Structure: a cell relaxed with PBE.

Crystal structure
```
data_Ag3RuS
_space_group_name_H-M_alt 'P m -3 m'
_space_group_IT_number 221
_space_group_name_Hall '-P 4 2 3'
_cell_length_a 4.689
_cell_length_b 4.689
_cell_length_c 4.689
_cell_angle_alpha 90.00
_cell_angle_beta 90.00
_cell_angle_gamma 90.00
loop_
_atom_site_label
_atom_site_fract_x
_atom_site_fract_y
_atom_site_fract_z
Ag1 0.000 0.000 0.500
Ru1 0.500 0.500 0.500
S1 0.000 0.000 0.000
```

Largest 10 diffraction maxima, in order of rising 2θ, 2θ = 15–90°:
(1 0 0), 18.93°, I 3.6
(1 1 0), 26.89°, I 1.0
(1 1 1), 33.09°, I 100.0
(2 0 0), 38.40°, I 66.7
(2 1 0), 43.14°, I 1.4
(2 2 0), 55.43°, I 43.6
(3 0 0), 59.11°, I 0.6
(3 1 1), 66.09°, I 37.7
(2 2 2), 69.44°, I 14.4
(4 0 0), 82.24°, I 6.8

---

# 8
This entry pairs a crystal structure of BeSbBr with its simulated powder X-ray diffraction pattern. Radiation: CuKα. Structure: a cell relaxed with PBE.

Crystal structure
```
data_BeSbBr
_space_group_name_H-M_alt 'F m m 2'
_space_group_IT_number 42
_space_group_name_Hall 'F 2 -2'
_cell_length_a 3.199
_cell_length_b 6.680
_cell_length_c 16.042
_cell_angle_alpha 90.00
_cell_angle_beta 90.00
_cell_angle_gamma 90.00
loop_
_atom_site_label
_atom_site_fract_x
_atom_site_fract_y
_atom_site_fract_z
Be1 0.000 0.000 0.000
Sb1 0.000 0.000 0.630
Br1 0.000 0.000 0.406
```

Largest 10 diffraction maxima, in order of rising 2θ, 2θ = 15–90°:
(0 0 4), 22.17°, I 93.2
(0 2 0), 26.69°, I 74.7
(1 1 1), 31.50°, I 100.0
(0 2 4), 34.96°, I 57.9
(1 1 3), 35.35°, I 42.9
(1 1 5), 42.12°, I 73.8
(1 3 1), 50.25°, I 26.6
(1 3 5), 58.09°, I 28.0
(1 1 9), 61.11°, I 25.4
(2 2 4), 69.21°, I 15.3

---

# 9
This entry pairs a crystal structure of La2Ce2Pd15 with its simulated powder X-ray diffraction pattern. Radiation: CuKα. Structure: a cell relaxed with PBE.

Crystal structure
```
data_La2Ce2Pd15
_space_group_name_H-M_alt 'R -3 m'
_space_group_IT_number 166
_space_group_name_Hall '-R 3 2"'
_cell_length_a 9.3024
_cell_length_b 9.3024
_cell_length_c 14.2363
_cell_angle_alpha 90.00
_cell_angle_beta 90.00
_cell_angle_gamma 120.00
loop_
_atom_site_label
_atom_site_fract_x
_atom_site_fract_y
_atom_site_fract_z
La1 0.0000 0.0000 0.1396
Ce1 0.0000 0.0000 0.3962
Pd1 0.0000 0.3131 0.5000
Pd2 0.0000 0.5000 0.0000
Pd3 0.0041 0.5020 0.6568
```

Largest 10 diffraction maxima, in order of rising 2θ, 2θ = 15–90°:
(3 0 0), 33.37°, I 46.5
(0 2 4), 33.60°, I 31.9
(0 0 6), 37.92°, I 35.0
(0 3 3), 38.52°, I 100.0
(2 2 0), 38.72°, I 72.6
(2 1 4), 38.93°, I 21.3
(1 1 6), 42.78°, I 30.2
(2 2 3), 43.33°, I 79.8
(0 3 9), 68.89°, I 21.1
(6 0 0), 70.08°, I 33.2

---

# 10
This entry pairs a crystal structure of SrHoCuO3 with its simulated powder X-ray diffraction pattern. Radiation: CuKα. Structure: a cell relaxed with PBE.

Crystal structure
```
data_SrHoCuO3
_space_group_name_H-M_alt 'C m c m'
_space_group_IT_number 63
_space_group_name_Hall '-C 2c 2'
_cell_length_a 3.683
_cell_length_b 12.805
_cell_length_c 8.326
_cell_angle_alpha 90.00
_cell_angle_beta 90.00
_cell_angle_gamma 90.00
loop_
_atom_site_label
_atom_site_fract_x
_atom_site_fract_y
_atom_site_fract_z
Sr1 0.000 0.185 0.250
Ho1 0.000 0.500 0.000
Cu1 0.000 0.115 0.750
O1 0.000 0.113 0.532
O2 0.000 0.435 0.750
```

Largest 10 diffraction maxima, in order of rising 2θ, 2θ = 15–90°:
(0 2 2), 25.52°, I 80.9
(1 3 0), 32.10°, I 100.0
(1 1 2), 33.22°, I 85.1
(1 3 1), 33.90°, I 22.0
(0 4 2), 35.37°, I 34.5
(0 0 4), 43.48°, I 28.9
(1 5 2), 48.50°, I 29.9
(2 0 0), 49.49°, I 20.5
(1 3 4), 55.05°, I 40.2
(2 4 2), 62.30°, I 19.3

---

# 11
This entry pairs a crystal structure of Ni2SbCl with its simulated powder X-ray diffraction pattern. Radiation: CuKα. Structure: a cell relaxed with PBE.

Crystal structure
```
data_Ni2SbCl
_space_group_name_H-M_alt 'P m m 2'
_space_group_IT_number 25
_cell_length_a 3.342
_cell_length_b 3.912
_cell_length_c 5.844
_cell_angle_alpha 90.00
_cell_angle_beta 90.00
_cell_angle_gamma 90.00
loop_
_space_group_symop_operation_xyz
'x,y,z'
'-x,-y,z'
'-x,y,z'
'x,-y,z'
loop_
_atom_site_label
_atom_site_fract_x
_atom_site_fract_y
_atom_site_fract_z
Ni1 0.000 0.000 0.000
Ni2 0.500 0.000 0.346
Sb1 0.000 0.500 0.263
Cl1 0.500 0.000 0.738
```

Largest 10 diffraction maxima, in order of rising 2θ, 2θ = 15–90°:
(0 0 1), 15.16°, I 100.0
(0 1 1), 27.43°, I 31.1
(0 0 2), 30.60°, I 18.2
(1 0 1), 30.82°, I 37.8
(1 1 0), 35.32°, I 32.6
(0 1 2), 38.45°, I 18.2
(1 1 1), 38.64°, I 67.7
(0 2 0), 46.42°, I 24.5
(1 1 2), 47.42°, I 72.4
(0 1 3), 52.48°, I 15.9

---

# 12
This entry pairs a crystal structure of Mo5W with its simulated powder X-ray diffraction pattern. Radiation: CuKα. Structure: a cell relaxed with PBE.

Crystal structure
```
data_Mo5W
_space_group_name_H-M_alt 'C 1 2/m 1'
_space_group_IT_number 12
_cell_length_a 10.006
_cell_length_b 3.172
_cell_length_c 6.345
_cell_angle_alpha 90.00
_cell_angle_beta 108.48
_cell_angle_gamma 90.00
loop_
_space_group_symop_operation_xyz
'x,y,z'
'-x,-y,-z'
'-x,y,-z'
'x,-y,z'
'x+1/2,y+1/2,z'
'-x+1/2,-y+1/2,-z'
'-x+1/2,y+1/2,-z'
'x+1/2,-y+1/2,z'
loop_
_atom_site_label
_atom_site_fract_x
_atom_site_fract_y
_atom_site_fract_z
Mo1 0.000 0.000 0.000
Mo2 0.166 0.500 0.833
Mo3 0.167 0.500 0.333
W1 0.000 0.000 0.500
```

Largest 10 diffraction maxima, in order of rising 2θ, 2θ = 15–90°:
(2 0 0), 18.70°, I 1.7
(2 0 -1), 19.82°, I 1.5
(1 1 0), 29.69°, I 2.3
(3 1 0), 40.24°, I 100.0
(0 2 0), 58.16°, I 11.0
(6 0 0), 58.34°, I 5.5
(2 2 2), 73.10°, I 22.4
(5 1 2), 73.22°, I 11.2
(2 2 -4), 86.84°, I 3.7
(6 2 0), 87.00°, I 7.4

---

What did the fourth record say?
This entry pairs a crystal structure of PmNd8Tm6 with its simulated powder X-ray diffraction pattern. Radiation: CuKα. Structure: a cell relaxed with PBE.

Crystal structure
```
data_PmNd8Tm6
_space_group_name_H-M_alt 'P -3'
_space_group_IT_number 147
_cell_length_a 9.9051
_cell_length_b 9.9051
_cell_length_c 5.9194
_cell_angle_alpha 90.00
_cell_angle_beta 90.00
_cell_angle_gamma 120.00
loop_
_space_group_symop_operation_xyz
'x,y,z'
'-x,-y,-z'
'-y,x-y,z'
'y,-x+y,-z'
'-x+y,-x,z'
'x-y,x,-z'
loop_
_atom_site_label
_atom_site_fract_x
_atom_site_fract_y
_atom_site_fract_z
Pm1 0.0000 0.0000 0.0000
Nd1 0.0521 0.7754 0.7257
Nd2 0.3333 0.6667 0.7248
Tm1 0.0938 0.6202 0.2412
```

Largest 10 diffraction maxima, in order of rising 2θ, 2θ = 15–90°:
(1 2 0), 27.51°, I 21.5
(0 0 2), 30.20°, I 22.2
(3 -1 1), 31.46°, I 100.0
(1 2 2), 41.30°, I 20.8
(4 1 0), 48.64°, I 19.0
(3 -1 3), 54.44°, I 18.7
(5 -4 2), 58.33°, I 15.9
(2 4 1), 59.08°, I 14.2
(7 0 1), 79.95°, I 7.6
(5 -4 4), 83.22°, I 7.0